Record 1
Computed powder X-ray diffraction pattern of La5YPb3 for copper Kα, from a structure optimized by DFT (PBE).
Neutral-atom scattering factors, no anomalous dispersion.

Top 6 peaks for 10° ≤ 2θ ≤ 90°, low angle first:
- 31.3 deg, I 100
- 31.5 deg, I 78
- 40.9 deg, I 22
- 45.0 deg, I 29
- 55.8 deg, I 31
- 62.8 deg, I 28

Structural model:
```
data_La5YPb3
_symmetry_space_group_name_H-M 'P 1'
_symmetry_Int_Tables_number 1
_cell_length_a 9.907
_cell_length_b 9.907
_cell_length_c 6.923
_cell_angle_alpha 90.00
_cell_angle_beta 90.00
_cell_angle_gamma 120.00
loop_
_symmetry_equiv_pos_as_xyz
'x,y,z'
loop_
_atom_site_label
_atom_site_fract_x
_atom_site_fract_y
_atom_site_fract_z
La1 0.000 0.333 0.250
La2 0.000 0.667 0.750
La3 0.333 0.000 0.250
La4 0.333 0.333 0.750
La5 0.333 0.667 0.000
La6 0.333 0.667 0.500
La7 0.667 0.000 0.750
La8 0.667 0.333 0.000
La9 0.667 0.333 0.500
La10 0.667 0.667 0.250
Y1 0.000 0.000 0.000
Y2 0.000 0.000 0.500
Pb1 0.000 0.330 0.750
Pb2 0.000 0.670 0.250
Pb3 0.330 0.000 0.750
Pb4 0.330 0.330 0.250
Pb5 0.670 0.000 0.250
Pb6 0.670 0.670 0.750
```

---

Record 2
Computed powder X-ray diffraction pattern of LaY2Pb2 for copper Kα, from a structure optimized by DFT (PBE).
Neutral-atom scattering factors, no anomalous dispersion.

Top 6 peaks for 10° ≤ 2θ ≤ 90°, low angle first:
- 21.9 deg, I 19
- 31.1 deg, I 59
- 32.5 deg, I 100
- 39.5 deg, I 20
- 58.9 deg, I 19
- 60.1 deg, I 26

Structural model:
```
data_LaY2Pb2
_symmetry_space_group_name_H-M 'P 1'
_symmetry_Int_Tables_number 1
_cell_length_a 9.092
_cell_length_b 9.092
_cell_length_c 3.739
_cell_angle_alpha 90.00
_cell_angle_beta 90.00
_cell_angle_gamma 90.00
loop_
_symmetry_equiv_pos_as_xyz
'x,y,z'
loop_
_atom_site_label
_atom_site_fract_x
_atom_site_fract_y
_atom_site_fract_z
La1 0.000 0.000 0.000
La2 0.500 0.500 0.000
Y1 0.145 0.355 0.500
Y2 0.355 0.855 0.500
Y3 0.645 0.145 0.500
Y4 0.855 0.645 0.500
Pb1 0.154 0.654 0.000
Pb2 0.346 0.154 0.000
Pb3 0.654 0.846 0.000
Pb4 0.846 0.346 0.000
```

---

Record 3
Computed powder X-ray diffraction pattern of La2YPb9 for copper Kα, from a structure optimized by DFT (PBE).
Neutral-atom scattering factors, no anomalous dispersion.

Top 6 peaks for 10° ≤ 2θ ≤ 90°, low angle first:
- 31.4 deg, I 100
- 36.3 deg, I 34
- 36.6 deg, I 17
- 52.5 deg, I 24
- 62.3 deg, I 29
- 62.6 deg, I 14

Structural model:
```
data_La2YPb9
_symmetry_space_group_name_H-M 'P 1'
_symmetry_Int_Tables_number 1
_cell_length_a 4.949
_cell_length_b 4.949
_cell_length_c 14.745
_cell_angle_alpha 90.00
_cell_angle_beta 90.00
_cell_angle_gamma 90.00
loop_
_symmetry_equiv_pos_as_xyz
'x,y,z'
loop_
_atom_site_label
_atom_site_fract_x
_atom_site_fract_y
_atom_site_fract_z
La1 0.000 0.000 0.168
La2 0.000 0.000 0.832
Y1 0.000 0.000 0.500
Pb1 0.000 0.500 0.000
Pb2 0.000 0.500 0.338
Pb3 0.000 0.500 0.662
Pb4 0.500 0.000 0.000
Pb5 0.500 0.000 0.338
Pb6 0.500 0.000 0.662
Pb7 0.500 0.500 0.169
Pb8 0.500 0.500 0.500
Pb9 0.500 0.500 0.831
```

---

Record 4
Computed powder X-ray diffraction pattern of La2Zr2Pb for copper Kα, from a structure optimized by DFT (PBE).
Neutral-atom scattering factors, no anomalous dispersion.

Top 6 peaks for 10° ≤ 2θ ≤ 90°, low angle first:
- 24.7 deg, I 27
- 29.6 deg, I 57
- 31.7 deg, I 100
- 36.2 deg, I 57
- 37.9 deg, I 30
- 53.5 deg, I 38

Structural model:
```
data_La2Zr2Pb
_symmetry_space_group_name_H-M 'P 1'
_symmetry_Int_Tables_number 1
_cell_length_a 7.837
_cell_length_b 7.837
_cell_length_c 4.745
_cell_angle_alpha 90.00
_cell_angle_beta 90.00
_cell_angle_gamma 90.00
loop_
_symmetry_equiv_pos_as_xyz
'x,y,z'
loop_
_atom_site_label
_atom_site_fract_x
_atom_site_fract_y
_atom_site_fract_z
La1 0.172 0.328 0.000
La2 0.328 0.828 0.000
La3 0.672 0.172 0.000
La4 0.828 0.672 0.000
Zr1 0.136 0.636 0.500
Zr2 0.364 0.136 0.500
Zr3 0.636 0.864 0.500
Zr4 0.864 0.364 0.500
Pb1 0.000 0.000 0.500
Pb2 0.500 0.500 0.500
```

---

Record 5
Computed powder X-ray diffraction pattern of LaZr2Pb for copper Kα, from a structure optimized by DFT (PBE).
Neutral-atom scattering factors, no anomalous dispersion.

Top 6 peaks for 10° ≤ 2θ ≤ 90°, low angle first:
- 31.6 deg, I 100
- 34.2 deg, I 91
- 35.0 deg, I 76
- 43.9 deg, I 28
- 57.4 deg, I 37
- 63.9 deg, I 35

Structural model:
```
data_LaZr2Pb
_symmetry_space_group_name_H-M 'P 1'
_symmetry_Int_Tables_number 1
_cell_length_a 3.399
_cell_length_b 4.122
_cell_length_c 7.794
_cell_angle_alpha 90.00
_cell_angle_beta 90.00
_cell_angle_gamma 90.00
loop_
_symmetry_equiv_pos_as_xyz
'x,y,z'
loop_
_atom_site_label
_atom_site_fract_x
_atom_site_fract_y
_atom_site_fract_z
La1 0.000 0.000 0.000
Zr1 0.000 0.000 0.501
Zr2 0.500 0.500 0.711
Pb1 0.500 0.500 0.286
```

---

Record 6
Computed powder X-ray diffraction pattern of La6Pd23 for copper Kα, from a structure optimized by DFT (PBE).
Neutral-atom scattering factors, no anomalous dispersion.

Top 6 peaks for 10° ≤ 2θ ≤ 90°, low angle first:
- 33.5 deg, I 13
- 35.6 deg, I 35
- 38.9 deg, I 100
- 40.8 deg, I 19
- 43.7 deg, I 12
- 70.4 deg, I 23

Structural model:
```
data_La6Pd23
_symmetry_space_group_name_H-M 'P 1'
_symmetry_Int_Tables_number 1
_cell_length_a 9.262
_cell_length_b 9.262
_cell_length_c 9.262
_cell_angle_alpha 60.00
_cell_angle_beta 60.00
_cell_angle_gamma 60.00
loop_
_symmetry_equiv_pos_as_xyz
'x,y,z'
loop_
_atom_site_label
_atom_site_fract_x
_atom_site_fract_y
_atom_site_fract_z
La1 0.225 0.225 0.775
La2 0.225 0.775 0.225
La3 0.225 0.775 0.775
La4 0.775 0.225 0.225
La5 0.775 0.225 0.775
La6 0.775 0.775 0.225
Pd1 0.000 0.000 0.500
Pd2 0.000 0.500 0.000
Pd3 0.000 0.500 0.500
Pd4 0.139 0.620 0.620
Pd5 0.171 0.171 0.171
Pd6 0.171 0.171 0.488
Pd7 0.171 0.488 0.171
Pd8 0.380 0.380 0.380
Pd9 0.380 0.380 0.861
Pd10 0.380 0.861 0.380
Pd11 0.488 0.171 0.171
Pd12 0.500 0.000 0.000
Pd13 0.500 0.000 0.500
Pd14 0.500 0.500 0.000
Pd15 0.500 0.500 0.500
Pd16 0.512 0.829 0.829
Pd17 0.620 0.139 0.620
Pd18 0.620 0.620 0.139
Pd19 0.620 0.620 0.620
Pd20 0.829 0.512 0.829
Pd21 0.829 0.829 0.512
Pd22 0.829 0.829 0.829
Pd23 0.861 0.380 0.380
```

---

Record 7
Computed powder X-ray diffraction pattern of La5Pd2 for copper Kα, from a structure optimized by DFT (PBE).
Neutral-atom scattering factors, no anomalous dispersion.

Top 6 peaks for 10° ≤ 2θ ≤ 90°, low angle first:
- 28.5 deg, I 100
- 29.1 deg, I 58
- 30.1 deg, I 53
- 30.3 deg, I 72
- 31.3 deg, I 71
- 38.8 deg, I 51

Structural model:
```
data_La5Pd2
_symmetry_space_group_name_H-M 'P 1'
_symmetry_Int_Tables_number 1
_cell_length_a 9.517
_cell_length_b 9.517
_cell_length_c 7.407
_cell_angle_alpha 96.72
_cell_angle_beta 96.72
_cell_angle_gamma 41.62
loop_
_symmetry_equiv_pos_as_xyz
'x,y,z'
loop_
_atom_site_label
_atom_site_fract_x
_atom_site_fract_y
_atom_site_fract_z
La1 0.080 0.920 0.750
La2 0.142 0.294 0.315
La3 0.294 0.142 0.815
La4 0.303 0.509 0.070
La5 0.491 0.697 0.430
La6 0.509 0.303 0.570
La7 0.697 0.491 0.930
La8 0.706 0.858 0.185
La9 0.858 0.706 0.685
La10 0.920 0.080 0.250
Pd1 0.076 0.705 0.420
Pd2 0.295 0.924 0.080
Pd3 0.705 0.076 0.920
Pd4 0.924 0.295 0.580
```

---

Record 8
Computed powder X-ray diffraction pattern of La2Pd5 for copper Kα, from a structure optimized by DFT (PBE).
Neutral-atom scattering factors, no anomalous dispersion.

Top 6 peaks for 10° ≤ 2θ ≤ 90°, low angle first:
- 33.2 deg, I 29
- 36.9 deg, I 98
- 38.7 deg, I 100
- 41.4 deg, I 80
- 65.8 deg, I 24
- 74.8 deg, I 29

Structural model:
```
data_La2Pd5
_symmetry_space_group_name_H-M 'P 1'
_symmetry_Int_Tables_number 1
_cell_length_a 7.427
_cell_length_b 7.427
_cell_length_c 5.952
_cell_angle_alpha 90.00
_cell_angle_beta 90.00
_cell_angle_gamma 119.52
loop_
_symmetry_equiv_pos_as_xyz
'x,y,z'
loop_
_atom_site_label
_atom_site_fract_x
_atom_site_fract_y
_atom_site_fract_z
La1 0.100 0.307 0.000
La2 0.307 0.100 0.500
La3 0.693 0.900 0.500
La4 0.900 0.693 0.000
Pd1 0.101 0.365 0.500
Pd2 0.267 0.733 0.250
Pd3 0.267 0.733 0.750
Pd4 0.365 0.101 0.000
Pd5 0.500 0.500 0.250
Pd6 0.500 0.500 0.750
Pd7 0.635 0.899 0.000
Pd8 0.733 0.267 0.250
Pd9 0.733 0.267 0.750
Pd10 0.899 0.635 0.500
```

---

Record 9
Computed powder X-ray diffraction pattern of LaPm5Pd2 for copper Kα, from a structure optimized by DFT (PBE).
Neutral-atom scattering factors, no anomalous dispersion.

Top 6 peaks for 10° ≤ 2θ ≤ 90°, low angle first:
- 30.2 deg, I 100
- 30.9 deg, I 47
- 33.4 deg, I 31
- 33.9 deg, I 46
- 34.0 deg, I 50
- 45.8 deg, I 36

Structural model:
```
data_LaPm5Pd2
_symmetry_space_group_name_H-M 'P 1'
_symmetry_Int_Tables_number 1
_cell_length_a 6.671
_cell_length_b 6.671
_cell_length_c 19.012
_cell_angle_alpha 90.00
_cell_angle_beta 90.00
_cell_angle_gamma 145.45
loop_
_symmetry_equiv_pos_as_xyz
'x,y,z'
loop_
_atom_site_label
_atom_site_fract_x
_atom_site_fract_y
_atom_site_fract_z
La1 0.138 0.862 0.750
La2 0.862 0.138 0.250
Pm1 0.128 0.872 0.250
Pm2 0.147 0.853 0.539
Pm3 0.147 0.853 0.961
Pm4 0.439 0.561 0.610
Pm5 0.439 0.561 0.890
Pm6 0.561 0.439 0.110
Pm7 0.561 0.439 0.390
Pm8 0.853 0.147 0.039
Pm9 0.853 0.147 0.461
Pm10 0.872 0.128 0.750
Pd1 0.264 0.736 0.130
Pd2 0.264 0.736 0.370
Pd3 0.736 0.264 0.630
Pd4 0.736 0.264 0.870
```

---

Record 10
Computed powder X-ray diffraction pattern of LaPm3Pd12 for copper Kα, from a structure optimized by DFT (PBE).
Neutral-atom scattering factors, no anomalous dispersion.

Top 6 peaks for 10° ≤ 2θ ≤ 90°, low angle first:
- 37.1 deg, I 100
- 43.0 deg, I 16
- 43.2 deg, I 33
- 62.6 deg, I 21
- 74.9 deg, I 12
- 75.2 deg, I 25

Structural model:
```
data_LaPm3Pd12
_symmetry_space_group_name_H-M 'P 1'
_symmetry_Int_Tables_number 1
_cell_length_a 4.190
_cell_length_b 4.190
_cell_length_c 16.839
_cell_angle_alpha 90.00
_cell_angle_beta 90.00
_cell_angle_gamma 90.00
loop_
_symmetry_equiv_pos_as_xyz
'x,y,z'
loop_
_atom_site_label
_atom_site_fract_x
_atom_site_fract_y
_atom_site_fract_z
La1 0.000 0.000 0.000
Pm1 0.000 0.000 0.252
Pm2 0.000 0.000 0.500
Pm3 0.000 0.000 0.748
Pd1 0.000 0.500 0.127
Pd2 0.000 0.500 0.376
Pd3 0.000 0.500 0.624
Pd4 0.000 0.500 0.873
Pd5 0.500 0.000 0.127
Pd6 0.500 0.000 0.376
Pd7 0.500 0.000 0.624
Pd8 0.500 0.000 0.873
Pd9 0.500 0.500 0.000
Pd10 0.500 0.500 0.251
Pd11 0.500 0.500 0.500
Pd12 0.500 0.500 0.749
```

---

Record 11
Computed powder X-ray diffraction pattern of La2PmPd9 for copper Kα, from a structure optimized by DFT (PBE).
Neutral-atom scattering factors, no anomalous dispersion.

Top 6 peaks for 10° ≤ 2θ ≤ 90°, low angle first:
- 21.1 deg, I 1
- 36.9 deg, I 100
- 42.9 deg, I 49
- 62.3 deg, I 32
- 74.6 deg, I 37
- 78.6 deg, I 11

Structural model:
```
data_La2PmPd9
_symmetry_space_group_name_H-M 'P 1'
_symmetry_Int_Tables_number 1
_cell_length_a 4.219
_cell_length_b 4.219
_cell_length_c 12.640
_cell_angle_alpha 90.00
_cell_angle_beta 90.00
_cell_angle_gamma 90.00
loop_
_symmetry_equiv_pos_as_xyz
'x,y,z'
loop_
_atom_site_label
_atom_site_fract_x
_atom_site_fract_y
_atom_site_fract_z
La1 0.000 0.000 0.169
La2 0.000 0.000 0.831
Pm1 0.000 0.000 0.500
Pd1 0.000 0.500 0.000
Pd2 0.000 0.500 0.336
Pd3 0.000 0.500 0.664
Pd4 0.500 0.000 0.000
Pd5 0.500 0.000 0.336
Pd6 0.500 0.000 0.664
Pd7 0.500 0.500 0.167
Pd8 0.500 0.500 0.500
Pd9 0.500 0.500 0.833
```

---

Record 12
Computed powder X-ray diffraction pattern of LaPm3Pd2 for copper Kα, from a structure optimized by DFT (PBE).
Neutral-atom scattering factors, no anomalous dispersion.

Top 6 peaks for 10° ≤ 2θ ≤ 90°, low angle first:
- 28.7 deg, I 55
- 31.6 deg, I 100
- 33.7 deg, I 47
- 33.8 deg, I 54
- 34.4 deg, I 57
- 44.2 deg, I 54

Structural model:
```
data_LaPm3Pd2
_symmetry_space_group_name_H-M 'P 1'
_symmetry_Int_Tables_number 1
_cell_length_a 9.225
_cell_length_b 9.225
_cell_length_c 10.542
_cell_angle_alpha 116.64
_cell_angle_beta 116.64
_cell_angle_gamma 25.65
loop_
_symmetry_equiv_pos_as_xyz
'x,y,z'
loop_
_atom_site_label
_atom_site_fract_x
_atom_site_fract_y
_atom_site_fract_z
La1 0.107 0.107 0.012
La2 0.893 0.893 0.988
Pm1 0.056 0.056 0.389
Pm2 0.288 0.288 0.652
Pm3 0.363 0.363 0.268
Pm4 0.637 0.637 0.732
Pm5 0.712 0.712 0.348
Pm6 0.944 0.944 0.611
Pd1 0.256 0.256 0.913
Pd2 0.475 0.475 0.841
Pd3 0.525 0.525 0.159
Pd4 0.744 0.744 0.087
```